The following is a computed powder X-ray diffraction pattern of FeRe2W2. It was derived from a DFT-relaxed cell (GGA-PBE, Alexandria), using λ = 1.5418 Å (Cu Kα).
Lines closer than 0.1° are merged.

Top 6 peaks for 5° ≤ 2θ ≤ 70°, by angle:
| 2θ (°) | I_rel |
| --- | --- |
| 17.0 | 26 |
| 38.6 | 40 |
| 40.9 | 100 |
| 49.5 | 12 |
| 52.7 | 14 |
| 60.5 | 13 |

Unit cell a=7.369 b=7.369 c=2.966 alpha=90.00 beta=90.00 gamma=90.00
Fractional positions:
Fe 0.000 0.000 0.000
Fe 0.500 0.500 0.000
Re 0.141 0.359 0.000
Re 0.359 0.859 0.000
Re 0.641 0.141 0.000
Re 0.859 0.641 0.000
W 0.160 0.660 0.500
W 0.340 0.160 0.500
W 0.660 0.840 0.500
W 0.840 0.340 0.500

=====

The following is a computed powder X-ray diffraction pattern of Li3CeBr6. It was derived from a DFT-relaxed cell (GGA-PBE, Alexandria), using λ = 1.5418 Å (Cu Kα).
Lines closer than 0.1° are merged.

Top 6 peaks for 5° ≤ 2θ ≤ 70°, by angle:
| 2θ (°) | I_rel |
| --- | --- |
| 11.6 | 79 |
| 19.2 | 37 |
| 29.0 | 70 |
| 30.1 | 44 |
| 38.0 | 100 |
| 39.0 | 32 |

Unit cell a=8.291 b=8.291 c=4.620 alpha=90.00 beta=90.00 gamma=113.33
Fractional positions:
Li 0.000 0.000 0.000
Li 0.000 0.500 0.500
Li 0.500 0.000 0.500
Ce 0.500 0.500 0.000
Br 0.083 0.333 0.000
Br 0.333 0.083 0.000
Br 0.358 0.642 0.500
Br 0.642 0.358 0.500
Br 0.667 0.917 0.000
Br 0.917 0.667 0.000

=====

The following is a computed powder X-ray diffraction pattern of Ba3H. It was derived from a DFT-relaxed cell (GGA-PBE, Alexandria), using λ = 1.5418 Å (Cu Kα).
Lines closer than 0.1° are merged.

Top 6 peaks for 5° ≤ 2θ ≤ 70°, by angle:
| 2θ (°) | I_rel |
| --- | --- |
| 21.1 | 26 |
| 24.8 | 100 |
| 25.9 | 41 |
| 39.3 | 39 |
| 43.0 | 36 |
| 59.7 | 26 |

Unit cell a=8.419 b=8.419 c=8.419 alpha=60.00 beta=60.00 gamma=60.00
Fractional positions:
Ba 0.000 0.000 0.000
Ba 0.000 0.000 0.500
Ba 0.000 0.500 0.000
Ba 0.375 0.375 0.375
Ba 0.500 0.000 0.000
Ba 0.625 0.625 0.625
H 0.125 0.125 0.125
H 0.875 0.875 0.875